Record 1
Diffraction record for LiCe3Np3Se8. The powder XRD pattern is theoretical, not measured: it uses a cell relaxed with PBE and Cu Kα (weighted mean of Kα1 and Kα2).
No peak broadening, texture or thermal motion is included.

Crystal structure
```
data_LiCe3Np3Se8
_space_group_name_H-M_alt 'P -1'
_space_group_IT_number 2
_cell_length_a 8.2359
_cell_length_b 8.2402
_cell_length_c 8.2513
_cell_angle_alpha 60.14
_cell_angle_beta 60.06
_cell_angle_gamma 60.09
loop_
_space_group_symop_operation_xyz
'x,y,z'
'-x,-y,-z'
loop_
_atom_site_label
_atom_site_type_symbol
_atom_site_fract_x
_atom_site_fract_y
_atom_site_fract_z
Li1 Li 0.0000 0.0000 0.0000
Ce1 Ce 0.0000 0.0000 0.5000
Ce2 Ce 0.0000 0.5000 0.0000
Ce3 Ce 0.5000 0.0000 0.0000
Np1 Np 0.0000 0.5000 0.5000
Np2 Np 0.5000 0.0000 0.5000
Np3 Np 0.5000 0.5000 0.0000
Se1 Se 0.2465 0.2457 0.7505
Se2 Se 0.2467 0.7478 0.2467
Se3 Se 0.2492 0.7545 0.7533
Se4 Se 0.2521 0.2529 0.2520
```

Peak list (10 most intense, 2θ from 10° to 90°, most intense first)
2theta	I_rel	(hkl)
30.66	100	2 2 0
43.88	50	2 0 -2
43.96	25	4 2 2
15.19	23	1 1 0
21.55	21	1 2 1
72.47	17	4 2 -2
26.47	14	2 2 2
54.44	13	0 4 0
54.56	13	4 0 0
63.84	12	4 0 4

Record 2
Diffraction record for Tl7Hg2. The powder XRD pattern is theoretical, not measured: it uses a cell relaxed with PBE and Cu Kα (weighted mean of Kα1 and Kα2).
No peak broadening, texture or thermal motion is included.

Crystal structure
```
data_Tl7Hg2
_space_group_name_H-M_alt 'P -3 m 1'
_space_group_IT_number 164
_space_group_name_Hall '-P 3 2"'
_cell_length_a 5.6005
_cell_length_b 5.6005
_cell_length_c 10.0663
_cell_angle_alpha 90.00
_cell_angle_beta 90.00
_cell_angle_gamma 120.00
loop_
_atom_site_label
_atom_site_type_symbol
_atom_site_fract_x
_atom_site_fract_y
_atom_site_fract_z
Tl1 Tl 0.0000 0.0000 0.0000
Tl2 Tl 0.0000 0.0000 0.3335
Tl3 Tl 0.3333 0.6667 0.1646
Tl4 Tl 0.3333 0.6667 0.5139
Hg1 Hg 0.3333 0.6667 0.8381
```

Peak list (10 most intense, 2θ from 10° to 90°, most intense first)
2theta	I_rel	(hkl)
31.96	100	1 1 0
32.45	85	1 0 3
57.27	35	2 1 3
46.19	32	0 2 3
64.78	25	1 1 6
56.96	20	3 0 0
76.26	15	1 3 3
82.94	13	3 0 6
66.82	12	2 2 0
42.03	10	1 1 3

Record 3
Diffraction record for Ho3MnNi8. The powder XRD pattern is theoretical, not measured: it uses a cell relaxed with PBE and Cu Kα (weighted mean of Kα1 and Kα2).
No peak broadening, texture or thermal motion is included.

Crystal structure
```
data_Ho3MnNi8
_space_group_name_H-M_alt 'R 3 m'
_space_group_IT_number 160
_space_group_name_Hall 'R 3 -2"'
_cell_length_a 4.9682
_cell_length_b 4.9682
_cell_length_c 24.4108
_cell_angle_alpha 90.00
_cell_angle_beta 90.00
_cell_angle_gamma 120.00
loop_
_atom_site_label
_atom_site_type_symbol
_atom_site_fract_x
_atom_site_fract_y
_atom_site_fract_z
Ho1 Ho 0.0000 0.0000 0.0000
Ho2 Ho 0.0000 0.0000 0.1286
Ho3 Ho 0.0000 0.0000 0.5134
Mn1 Mn 0.0000 0.0000 0.6353
Ni1 Ni 0.0000 0.0000 0.3173
Ni2 Ni 0.0000 0.0000 0.8176
Ni3 Ni 0.1676 0.3352 0.9023
Ni4 Ni 0.1678 0.3356 0.3995
```

Peak list (10 most intense, 2θ from 10° to 90°, most intense first)
2theta	I_rel	(hkl)
42.64	100	2 0 2
36.12	56	1 1 0
69.47	22	2 1 10
44.66	16	0 2 4
65.00	15	3 0 0
76.73	11	2 2 0
76.55	10	0 2 16
21.89	9	0 1 2
69.35	6	0 0 18
33.06	6	1 0 7